[1]
Diffraction record for Na4Sr5Ca4. The XRD peak list is calculated, not measured: it uses DFT lattice parameters and positions (PBE) and CuKα.
No peak broadening, texture or thermal motion is included.

Atomic structure:
```
data_Na4Sr5Ca4
_chemical_formula_sum 'Na4 Sr5 Ca4'
_symmetry_space_group_name_H-M 'P 1'
_symmetry_Int_Tables_number 1
_symmetry_space_group_name_Hall 'P 1'
_cell_length_a 10.487
_cell_length_b 10.487
_cell_length_c 10.487
_cell_angle_alpha 94.43
_cell_angle_beta 94.43
_cell_angle_gamma 147.72
loop_
_atom_site_label
_atom_site_type_symbol
_atom_site_fract_x
_atom_site_fract_y
_atom_site_fract_z
Na1 Na 0.094 0.757 0.851
Na2 Na 0.243 0.094 0.337
Na3 Na 0.757 0.906 0.663
Na4 Na 0.906 0.243 0.149
Sr1 Sr 0.000 0.000 0.000
Sr2 Sr 0.308 0.603 0.911
Sr3 Sr 0.397 0.308 0.705
Sr4 Sr 0.603 0.692 0.295
Sr5 Sr 0.692 0.397 0.089
Ca1 Ca 0.099 0.406 0.505
Ca2 Ca 0.406 0.901 0.307
Ca3 Ca 0.594 0.099 0.693
Ca4 Ca 0.901 0.594 0.495
```

The 6 most intense peaks (5 to 70 degrees two-theta), low angle first:
| d (Å) | I (rel.) |
| --- | --- |
| 3.682 | 336 |
| 3.271 | 1000 |
| 3.186 | 281 |
| 2.973 | 274 |
| 2.916 | 286 |
| 2.016 | 262 |

=====

[2]
Diffraction record for Na17SrCa. The XRD peak list is calculated, not measured: it uses DFT lattice parameters and positions (PBE) and CuKα.
No peak broadening, texture or thermal motion is included.

Atomic structure:
```
data_Na17SrCa
_chemical_formula_sum 'Na17 Sr1 Ca1'
_symmetry_space_group_name_H-M 'P 1'
_symmetry_Int_Tables_number 1
_symmetry_space_group_name_Hall 'P 1'
_cell_length_a 9.180
_cell_length_b 9.180
_cell_length_c 9.180
_cell_angle_alpha 78.22
_cell_angle_beta 78.22
_cell_angle_gamma 78.22
loop_
_atom_site_label
_atom_site_type_symbol
_atom_site_fract_x
_atom_site_fract_y
_atom_site_fract_z
Na1 Na 0.041 0.479 0.479
Na2 Na 0.056 0.056 0.056
Na3 Na 0.114 0.114 0.675
Na4 Na 0.114 0.675 0.114
Na5 Na 0.149 0.450 0.830
Na6 Na 0.149 0.830 0.450
Na7 Na 0.238 0.238 0.238
Na8 Na 0.377 0.753 0.753
Na9 Na 0.450 0.149 0.830
Na10 Na 0.450 0.830 0.149
Na11 Na 0.479 0.041 0.479
Na12 Na 0.479 0.479 0.041
Na13 Na 0.675 0.114 0.114
Na14 Na 0.753 0.377 0.753
Na15 Na 0.753 0.753 0.377
Na16 Na 0.830 0.149 0.450
Na17 Na 0.830 0.450 0.149
Sr1 Sr 0.810 0.810 0.810
Ca1 Ca 0.463 0.463 0.463
```

The 6 most intense peaks (5 to 70 degrees two-theta), low angle first:
| d (Å) | I (rel.) |
| --- | --- |
| 4.261 | 208 |
| 3.343 | 330 |
| 3.145 | 224 |
| 3.015 | 220 |
| 2.952 | 1000 |
| 2.896 | 216 |

=====

[3]
Diffraction record for Na3Sr3Ca. The XRD peak list is calculated, not measured: it uses DFT lattice parameters and positions (PBE) and CuKα.
No peak broadening, texture or thermal motion is included.

Atomic structure:
```
data_Na3Sr3Ca
_chemical_formula_sum 'Na6 Sr6 Ca2'
_symmetry_space_group_name_H-M 'P 1'
_symmetry_Int_Tables_number 1
_symmetry_space_group_name_Hall 'P 1'
_cell_length_a 10.531
_cell_length_b 10.531
_cell_length_c 6.497
_cell_angle_alpha 107.79
_cell_angle_beta 107.79
_cell_angle_gamma 77.30
loop_
_atom_site_label
_atom_site_type_symbol
_atom_site_fract_x
_atom_site_fract_y
_atom_site_fract_z
Na1 Na 0.001 0.445 0.223
Na2 Na 0.105 0.105 0.108
Na3 Na 0.445 0.001 0.223
Na4 Na 0.555 0.999 0.777
Na5 Na 0.895 0.895 0.892
Na6 Na 0.999 0.555 0.777
Sr1 Sr 0.165 0.835 0.500
Sr2 Sr 0.352 0.648 0.000
Sr3 Sr 0.375 0.375 0.376
Sr4 Sr 0.625 0.625 0.624
Sr5 Sr 0.648 0.352 0.000
Sr6 Sr 0.835 0.165 0.500
Ca1 Ca 0.236 0.236 0.737
Ca2 Ca 0.764 0.764 0.263
```

The 6 most intense peaks (5 to 70 degrees two-theta), low angle first:
| d (Å) | I (rel.) |
| --- | --- |
| 3.635 | 565 |
| 3.280 | 860 |
| 3.274 | 548 |
| 3.248 | 667 |
| 3.174 | 1000 |
| 3.016 | 279 |

=====

[4]
Diffraction record for Na7Sr12Ca. The XRD peak list is calculated, not measured: it uses DFT lattice parameters and positions (PBE) and CuKα.
No peak broadening, texture or thermal motion is included.

Atomic structure:
```
data_Na7Sr12Ca
_chemical_formula_sum 'Na7 Sr12 Ca1'
_symmetry_space_group_name_H-M 'P 1'
_symmetry_Int_Tables_number 1
_symmetry_space_group_name_Hall 'P 1'
_cell_length_a 10.766
_cell_length_b 10.766
_cell_length_c 10.766
_cell_angle_alpha 109.13
_cell_angle_beta 109.13
_cell_angle_gamma 109.13
loop_
_atom_site_label
_atom_site_type_symbol
_atom_site_fract_x
_atom_site_fract_y
_atom_site_fract_z
Na1 Na 0.000 0.000 0.000
Na2 Na 0.124 0.254 0.401
Na3 Na 0.254 0.401 0.124
Na4 Na 0.401 0.124 0.254
Na5 Na 0.599 0.876 0.746
Na6 Na 0.746 0.599 0.876
Na7 Na 0.876 0.746 0.599
Sr1 Sr 0.054 0.157 0.705
Sr2 Sr 0.152 0.615 0.421
Sr3 Sr 0.157 0.705 0.054
Sr4 Sr 0.295 0.946 0.843
Sr5 Sr 0.385 0.579 0.848
Sr6 Sr 0.421 0.152 0.615
Sr7 Sr 0.579 0.848 0.385
Sr8 Sr 0.615 0.421 0.152
Sr9 Sr 0.705 0.054 0.157
Sr10 Sr 0.843 0.295 0.946
Sr11 Sr 0.848 0.385 0.579
Sr12 Sr 0.946 0.843 0.295
Ca1 Ca 0.500 0.500 0.500
```

The 6 most intense peaks (5 to 70 degrees two-theta), low angle first:
| d (Å) | I (rel.) |
| --- | --- |
| 3.962 | 241 |
| 3.932 | 299 |
| 3.369 | 322 |
| 3.339 | 245 |
| 3.320 | 1000 |
| 2.940 | 404 |